Simulated X-ray powder pattern
Compound: Mg2UO4
Radiation: copper Kα
Structure: a DFT-relaxed cell (PBE, Alexandria)
Neutral-atom scattering factors, no anomalous dispersion.

The 10 most intense peaks (10 to 90 degrees two-theta), in order of falling intensity:
| d (Å) | 2θ/deg | Rel. int. | hkl |
| --- | --- | --- | --- |
| 4.918 | 18.04 | 100 | 1 0 1 |
| 2.815 | 31.79 | 87 | 2 1 1 |
| 2.852 | 31.37 | 74 | 1 1 2 |
| 3.433 | 25.95 | 72 | 2 0 0 |
| 1.849 | 49.30 | 52 | 3 1 2 |
| 1.838 | 49.58 | 39 | 3 2 1 |
| 2.223 | 40.59 | 38 | 1 0 3 |
| 2.177 | 41.48 | 22 | 3 0 1 |
| 1.426 | 65.46 | 18 | 2 2 4 |
| 1.717 | 53.37 | 17 | 4 0 0 |

Structure:
Cell: 6.8666 6.8666 7.0469 Å, 90.00 90.00 90.00°
Space group I4_1/amd (No. 141, origin choice 2)
One atom of each set of equivalent atoms:
Mg  0.0000  0.0000  0.0000 x8
U  0.0000  0.2500  0.3750 x4
O  0.0000  0.0599  0.7092 x16